Calculated powder diffractogram of Pm2Zr3Ga4 for Cu Ka, from a crystal structure in Alexandria, relaxed with GGA-PBE.
Kinematic intensities with the Lorentz-polarization factor, no thermal factor.

Structural model:
a b c (Å): 7.617 7.621 7.364
angles (deg): 90.00 107.91 90.00
Space group P2_1/c (No. 14)
Asymmetric unit:
Pm: 0.191 0.171 0.070 (multiplicity 4)
Zr: 0.250 0.678 0.249 (multiplicity 4)
Zr: 0.500 0.000 0.500 (multiplicity 2)
Ga: 0.081 0.539 0.868 (multiplicity 4)
Ga: 0.496 0.122 0.870 (multiplicity 4)

Most intense lines, 2θ = 10–90°, low angle first:
two_theta, I_rel, hkl
31.03, 24, 1 2 1
31.81, 24, 2 1 -2
33.28, 16, 2 1 1
33.72, 100, 2 2 -1
34.15, 44, 2 2 0
37.22, 16, 3 0 0
37.67, 32, 0 3 1
38.20, 16, 3 0 -2
38.54, 34, 1 1 -3
57.85, 11, 1 3 3